This entry pairs a crystal structure of Mg3Cr with its computed powder XRD pattern. Radiation: Cu Kα X-rays. Structure: a cell relaxed with GGA-PBE.
Lines closer than 0.1° are merged.

Top 10 peaks for 10° ≤ 2θ ≤ 90°, by angle:
| 2θ (°) | Rel. int. | index |
| --- | --- | --- |
| 20.27 | 19 | 2 0 0 |
| 21.11 | 12 | 0 1 1 |
| 23.45 | 13 | 1 1 1 |
| 23.76 | 9 | 1 0 2 |
| 36.79 | 29 | 0 2 0 |
| 37.45 | 100 | 0 1 3 |
| 37.69 | 23 | 3 0 2 |
| 42.91 | 11 | 2 1 3 |
| 53.69 | 16 | 3 2 2 |
| 66.66 | 8 | 0 3 3 |

Crystal structure
```
data_Mg3Cr
_chemical_formula_sum 'Mg12 Cr4'
_cell_length_a 8.7601
_cell_length_b 4.8858
_cell_length_c 8.2864
_cell_angle_alpha 90.00
_cell_angle_beta 90.00
_cell_angle_gamma 90.00
_space_group_name_H-M_alt 'P 1'
_space_group_IT_number 1
_space_group_name_Hall 'P 1'
loop_
_atom_site_label
_atom_site_type_symbol
_atom_site_fract_x
_atom_site_fract_y
_atom_site_fract_z
Mg1 Mg 0.0716 0.2500 0.0968
Mg2 Mg 0.0903 0.7500 0.5498
Mg3 Mg 0.2021 0.2500 0.7376
Mg4 Mg 0.2979 0.7500 0.2376
Mg5 Mg 0.4097 0.2500 0.0498
Mg6 Mg 0.4284 0.7500 0.5968
Mg7 Mg 0.5716 0.2500 0.4032
Mg8 Mg 0.5903 0.7500 0.9502
Mg9 Mg 0.7021 0.2500 0.7624
Mg10 Mg 0.7979 0.7500 0.2624
Mg11 Mg 0.9097 0.2500 0.4502
Mg12 Mg 0.9284 0.7500 0.9032
Cr1 Cr 0.2445 0.2500 0.4023
Cr2 Cr 0.2555 0.7500 0.9023
Cr3 Cr 0.7445 0.2500 0.0977
Cr4 Cr 0.7555 0.7500 0.5977
```